The following is a computed powder diffraction line list of PdN. It was derived from a structure optimized by DFT (PBE), using copper Kα.

Principal peaks in the range 2θ from 10° to 90°, by angle:
| 2θ/deg | intensity |
| --- | --- |
| 30.5 | 379 |
| 31.9 | 332 |
| 35.5 | 1000 |
| 56.9 | 236 |
| 57.5 | 335 |
| 66.0 | 240 |

Crystal structure
a b c (Å): 3.2361 3.2361 5.8591
angles (deg): 90.00 90.00 120.00
Space group P6_3mc (No. 186)
One atom of each set of equivalent atoms:
Pd (0.3333, 0.6667, 0.0000) (multiplicity 2)
N (0.3333, 0.6667, 0.6399) (multiplicity 2)